Simulated XRD peak list of Pr6Te3Ir2Se for Cu Kα, from a PBE-relaxed structure.

Atomic structure:
```
12
Lattice="9.762 -2.151 0.000 9.762 2.151 0.000 -2.573 0.000 8.684" Properties=species:S:1:pos:R:3 pbc="T T T"
Pr -0.335 0.000 2.158
Pr 5.211 0.000 3.787
Pr 4.217 0.000 7.620
Pr 12.733 0.000 1.064
Pr 11.739 0.000 4.897
Pr 17.285 0.000 6.527
Te 0.954 0.000 7.304
Te 8.475 0.000 4.342
Te 15.996 0.000 1.380
Ir 2.408 0.000 2.924
Ir 14.542 0.000 5.760
Se 9.762 0.000 0.000
```

Top 6 peaks for 2θ from 5° to 70°, by angle:
2θ (°)  d [Å]  intensity
28.63  3.118  100
39.87  2.261  12
40.12  2.248  24
41.72  2.165  24
41.99  2.151  13
51.60  1.771  13